[1]
The following is a theoretical X-ray powder pattern of MgIn3. It was derived from a structure optimized by DFT (GGA-PBE), using λ = 1.5418 Å (Cu Kα).

Top 12 peaks for 2θ from 5° to 70°, sorted by position:
| 2θ/deg | d_spacing | I (rel.) |
| --- | --- | --- |
| 16.43 | 5.396 | 12 |
| 17.64 | 5.027 | 19 |
| 30.78 | 2.905 | 26 |
| 31.49 | 2.841 | 13 |
| 33.21 | 2.698 | 38 |
| 35.09 | 2.558 | 100 |
| 35.72 | 2.514 | 46 |
| 45.91 | 1.977 | 17 |
| 55.63 | 1.652 | 17 |
| 60.55 | 1.529 | 19 |
| 66.34 | 1.409 | 19 |
| 66.70 | 1.402 | 14 |

Structure:
Unit cell a=3.379 b=10.792 c=5.682 alpha=90.00 beta=90.00 gamma=90.00
Positions (direct):
Mg  0.000  0.000  0.000
Mg  0.500  0.500  0.500
In  0.000  0.254  0.668
In  0.000  0.500  0.005
In  0.000  0.746  0.668
In  0.500  0.000  0.505
In  0.500  0.246  0.168
In  0.500  0.754  0.168

---

[2]
The following is a theoretical X-ray powder pattern of MgIn5. It was derived from a structure optimized by DFT (GGA-PBE), using λ = 1.5418 Å (Cu Kα).

Top 12 peaks for 2θ from 5° to 70°, sorted by position:
| 2θ/deg | d_spacing | I (rel.) |
| --- | --- | --- |
| 30.10 | 2.969 | 31 |
| 32.50 | 2.755 | 19 |
| 32.99 | 2.715 | 51 |
| 33.68 | 2.661 | 77 |
| 35.16 | 2.553 | 100 |
| 37.96 | 2.370 | 23 |
| 51.88 | 1.762 | 14 |
| 56.50 | 1.629 | 21 |
| 58.38 | 1.581 | 21 |
| 61.30 | 1.512 | 14 |
| 62.87 | 1.478 | 15 |
| 64.23 | 1.450 | 24 |

Structure:
Unit cell a=11.766 b=3.525 c=8.119 alpha=90.00 beta=109.33 gamma=90.00
Positions (direct):
Mg  0.000  0.000  0.000
Mg  0.500  0.500  0.000
In  0.108  0.500  0.731
In  0.164  0.500  0.322
In  0.284  0.000  0.054
In  0.326  0.000  0.666
In  0.447  0.500  0.393
In  0.608  0.000  0.731
In  0.664  0.000  0.322
In  0.784  0.500  0.054
In  0.826  0.500  0.666
In  0.947  0.000  0.393

---

[3]
The following is a theoretical X-ray powder pattern of MgIn2. It was derived from a structure optimized by DFT (GGA-PBE), using λ = 1.5418 Å (Cu Kα).

Top 12 peaks for 2θ from 5° to 70°, sorted by position:
| 2θ/deg | d_spacing | I (rel.) |
| --- | --- | --- |
| 11.63 | 7.612 | 35 |
| 16.40 | 5.405 | 27 |
| 23.40 | 3.802 | 27 |
| 28.48 | 3.134 | 28 |
| 30.90 | 2.894 | 50 |
| 32.93 | 2.720 | 75 |
| 34.11 | 2.629 | 100 |
| 35.38 | 2.537 | 47 |
| 36.14 | 2.486 | 89 |
| 39.23 | 2.297 | 34 |
| 58.15 | 1.587 | 47 |
| 64.15 | 1.452 | 24 |

Structure:
Unit cell a=11.606 b=3.433 c=8.172 alpha=90.00 beta=111.34 gamma=90.00
Positions (direct):
Mg  0.194  0.000  0.139
Mg  0.306  0.500  0.861
Mg  0.694  0.500  0.139
Mg  0.806  0.000  0.861
In  0.028  0.500  0.813
In  0.141  0.000  0.533
In  0.359  0.500  0.467
In  0.472  0.000  0.187
In  0.528  0.000  0.813
In  0.641  0.500  0.533
In  0.859  0.000  0.467
In  0.972  0.500  0.187

---

[4]
The following is a theoretical X-ray powder pattern of MgIn5. It was derived from a structure optimized by DFT (GGA-PBE), using λ = 1.5418 Å (Cu Kα).

Top 12 peaks for 2θ from 5° to 70°, sorted by position:
| 2θ/deg | d_spacing | I (rel.) |
| --- | --- | --- |
| 5.39 | 16.411 | 19 |
| 10.78 | 8.205 | 6 |
| 30.72 | 2.911 | 25 |
| 32.64 | 2.743 | 6 |
| 32.74 | 2.735 | 25 |
| 34.92 | 2.570 | 100 |
| 45.51 | 1.993 | 15 |
| 54.61 | 1.681 | 18 |
| 54.74 | 1.677 | 5 |
| 59.85 | 1.545 | 17 |
| 65.15 | 1.432 | 20 |
| 66.48 | 1.406 | 14 |

Structure:
Unit cell a=3.361 b=3.361 c=16.411 alpha=90.00 beta=90.00 gamma=120.00
Positions (direct):
Mg  0.000  0.000  0.000
In  0.000  0.000  0.327
In  0.000  0.000  0.673
In  0.333  0.667  0.157
In  0.333  0.667  0.500
In  0.333  0.667  0.843

---

[5]
The following is a theoretical X-ray powder pattern of MgIn3. It was derived from a structure optimized by DFT (GGA-PBE), using λ = 1.5418 Å (Cu Kα).

Top 11 peaks for 2θ from 5° to 70°, sorted by position:
| 2θ/deg | d_spacing | I (rel.) |
| --- | --- | --- |
| 19.01 | 4.668 | 17 |
| 27.01 | 3.301 | 15 |
| 33.24 | 2.695 | 100 |
| 38.58 | 2.334 | 50 |
| 43.35 | 2.087 | 8 |
| 47.73 | 1.906 | 6 |
| 55.70 | 1.650 | 33 |
| 59.40 | 1.556 | 4 |
| 62.97 | 1.476 | 3 |
| 66.43 | 1.407 | 38 |
| 69.80 | 1.347 | 11 |

Structure:
Unit cell a=4.668 b=4.668 c=4.668 alpha=90.00 beta=90.00 gamma=90.00
Positions (direct):
Mg  0.000  0.000  0.000
In  0.000  0.500  0.500
In  0.500  0.000  0.500
In  0.500  0.500  0.000

---

[6]
The following is a theoretical X-ray powder pattern of MgIn2. It was derived from a structure optimized by DFT (GGA-PBE), using λ = 1.5418 Å (Cu Kα).

Top 12 peaks for 2θ from 5° to 70°, sorted by position:
| 2θ/deg | d_spacing | I (rel.) |
| --- | --- | --- |
| 5.52 | 16.001 | 26 |
| 16.62 | 5.334 | 16 |
| 22.22 | 4.000 | 7 |
| 31.03 | 2.882 | 32 |
| 33.03 | 2.712 | 8 |
| 33.61 | 2.667 | 22 |
| 35.40 | 2.536 | 100 |
| 46.39 | 1.957 | 17 |
| 55.20 | 1.664 | 18 |
| 61.26 | 1.513 | 14 |
| 66.20 | 1.412 | 18 |
| 67.30 | 1.391 | 14 |

Structure:
Unit cell a=3.328 b=3.328 c=16.001 alpha=90.00 beta=90.00 gamma=120.00
Positions (direct):
Mg  0.000  0.000  0.160
Mg  0.000  0.000  0.840
In  0.000  0.000  0.500
In  0.333  0.667  0.000
In  0.333  0.667  0.319
In  0.333  0.667  0.681

---

[7]
The following is a theoretical X-ray powder pattern of MgIn2. It was derived from a structure optimized by DFT (GGA-PBE), using λ = 1.5418 Å (Cu Kα).

Top 12 peaks for 2θ from 5° to 70°, sorted by position:
| 2θ/deg | d_spacing | I (rel.) |
| --- | --- | --- |
| 10.89 | 8.125 | 15 |
| 16.51 | 5.370 | 23 |
| 30.13 | 2.967 | 31 |
| 33.08 | 2.708 | 13 |
| 33.37 | 2.685 | 35 |
| 34.54 | 2.597 | 100 |
| 37.18 | 2.418 | 39 |
| 45.57 | 1.991 | 19 |
| 57.26 | 1.609 | 14 |
| 60.40 | 1.533 | 19 |
| 65.26 | 1.430 | 14 |
| 67.92 | 1.380 | 17 |

Structure:
Unit cell a=5.370 b=3.546 c=16.250 alpha=90.00 beta=90.00 gamma=90.00
Positions (direct):
Mg  0.000  0.000  0.000
Mg  0.000  0.000  0.329
Mg  0.000  0.500  0.500
Mg  0.000  0.500  0.829
In  0.000  0.000  0.665
In  0.000  0.500  0.165
In  0.500  0.000  0.218
In  0.500  0.000  0.553
In  0.500  0.000  0.887
In  0.500  0.500  0.053
In  0.500  0.500  0.387
In  0.500  0.500  0.718

---

[8]
The following is a theoretical X-ray powder pattern of MgIn3. It was derived from a structure optimized by DFT (GGA-PBE), using λ = 1.5418 Å (Cu Kα).

Top 12 peaks for 2θ from 5° to 70°, sorted by position:
| 2θ/deg | d_spacing | I (rel.) |
| --- | --- | --- |
| 18.40 | 4.822 | 6 |
| 21.36 | 4.159 | 18 |
| 33.17 | 2.701 | 100 |
| 34.00 | 2.637 | 5 |
| 37.30 | 2.411 | 18 |
| 39.08 | 2.305 | 32 |
| 44.96 | 2.016 | 5 |
| 55.12 | 1.666 | 23 |
| 56.45 | 1.630 | 10 |
| 64.66 | 1.442 | 14 |
| 67.07 | 1.396 | 24 |
| 69.63 | 1.350 | 11 |

Structure:
Unit cell a=4.610 b=4.610 c=9.643 alpha=90.00 beta=90.00 gamma=90.00
Positions (direct):
Mg  0.000  0.000  0.000
Mg  0.500  0.500  0.500
In  0.000  0.000  0.500
In  0.000  0.500  0.250
In  0.000  0.500  0.750
In  0.500  0.000  0.250
In  0.500  0.000  0.750
In  0.500  0.500  0.000